1.
Simulated XRD peak list of AcMgAlCu for a wavelength of 1.5418 Å, from a structure optimized by DFT (GGA-PBE).
Intensities are scaled so that the largest is 100.

```
data_AcMgAlCu
_chemical_formula_sum 'Ac3 Mg3 Al3 Cu3'
_symmetry_space_group_name_H-M 'R 3 m'
_symmetry_Int_Tables_number 160
_symmetry_space_group_name_Hall 'R 3 -2"'
_cell_length_a 4.3866
_cell_length_b 4.3866
_cell_length_c 17.9066
_cell_angle_alpha 90.00
_cell_angle_beta 90.00
_cell_angle_gamma 120.00
loop_
_atom_site_label
_atom_site_fract_x
_atom_site_fract_y
_atom_site_fract_z
Ac1 0.0000 0.0000 0.0000
Mg1 0.0000 0.0000 0.1953
Al1 0.0000 0.0000 0.7894
Cu1 0.0000 0.0000 0.4719
```

The 10 most intense peaks (10 to 90 degrees two-theta), sorted by position:
(hkl)	Position (°2θ)	I (rel.)
0 0 3	14.84	30
1 0 1	23.95	55
0 1 2	25.47	100
0 0 6	29.94	28
1 0 4	30.87	93
0 1 5	34.42	42
1 1 0	41.16	57
1 1 6	51.72	37
0 2 4	52.32	21
2 1 4	68.65	19

---

2.
Simulated XRD peak list of AcMgAlCu2 for a wavelength of 1.5418 Å, from a structure optimized by DFT (GGA-PBE).
Intensities are scaled so that the largest is 100.

```
data_AcMgAlCu2
_chemical_formula_sum 'Ac2 Mg2 Al2 Cu4'
_symmetry_space_group_name_H-M 'I -4 m 2'
_symmetry_Int_Tables_number 119
_symmetry_space_group_name_Hall 'I -4 -2'
_cell_length_a 4.241
_cell_length_b 4.241
_cell_length_c 11.716
_cell_angle_alpha 90.00
_cell_angle_beta 90.00
_cell_angle_gamma 90.00
loop_
_atom_site_label
_atom_site_fract_x
_atom_site_fract_y
_atom_site_fract_z
Ac1 0.000 0.000 0.000
Mg1 0.000 0.500 0.750
Al1 0.000 0.500 0.250
Cu1 0.000 0.000 0.388
```

The 10 most intense peaks (10 to 90 degrees two-theta), sorted by position:
(hkl)	Position (°2θ)	I (rel.)
0 0 2	15.12	56
1 0 1	22.29	34
1 1 0	29.80	62
1 0 3	31.13	100
1 1 2	33.57	85
2 0 0	42.64	42
1 0 5	44.16	55
2 1 3	53.73	43
2 1 5	63.06	38
3 1 2	72.28	19

---

3.
Simulated XRD peak list of Ac2AlCu12Ni3 for a wavelength of 1.5418 Å, from a structure optimized by DFT (GGA-PBE).
Intensities are scaled so that the largest is 100.

```
data_Ac2AlCu12Ni3
_chemical_formula_sum 'Ac6 Al3 Cu36 Ni9'
_symmetry_space_group_name_H-M 'R -3 m'
_symmetry_Int_Tables_number 166
_symmetry_space_group_name_Hall '-R 3 2"'
_cell_length_a 8.0246
_cell_length_b 8.0246
_cell_length_c 18.4840
_cell_angle_alpha 90.00
_cell_angle_beta 90.00
_cell_angle_gamma 120.00
loop_
_atom_site_label
_atom_site_fract_x
_atom_site_fract_y
_atom_site_fract_z
Ac1 0.0000 0.0000 0.1080
Al1 0.0000 0.0000 0.5000
Cu1 0.0173 0.5087 0.1286
Cu2 0.1072 0.2144 0.7313
Ni1 0.0000 0.5000 0.0000
```

The 10 most intense peaks (10 to 90 degrees two-theta), sorted by position:
(hkl)	Position (°2θ)	I (rel.)
1 1 0	22.16	27
0 2 1	26.09	82
0 1 5	27.34	100
0 2 4	32.23	74
2 1 1	34.49	35
3 0 3	41.65	29
1 2 5	42.21	26
2 2 0	45.20	56
2 0 8	47.24	50
4 0 1	52.93	34

---

4.
Simulated XRD peak list of Ac3AlCu2Pd9 for a wavelength of 1.5418 Å, from a structure optimized by DFT (GGA-PBE).
Intensities are scaled so that the largest is 100.

```
data_Ac3AlCu2Pd9
_chemical_formula_sum 'Ac3 Al1 Cu2 Pd9'
_symmetry_space_group_name_H-M 'P -3 m 1'
_symmetry_Int_Tables_number 164
_symmetry_space_group_name_Hall '-P 3 2"'
_cell_length_a 7.3715
_cell_length_b 7.3715
_cell_length_c 6.8390
_cell_angle_alpha 90.00
_cell_angle_beta 90.00
_cell_angle_gamma 120.00
loop_
_atom_site_label
_atom_site_fract_x
_atom_site_fract_y
_atom_site_fract_z
Ac1 0.0000 0.0000 0.0000
Ac2 0.3333 0.6667 0.6724
Al1 0.0000 0.0000 0.5000
Cu1 0.3333 0.6667 0.1685
Pd1 0.0000 0.5000 0.0000
Pd2 0.1643 0.3286 0.3345
```

The 10 most intense peaks (10 to 90 degrees two-theta), sorted by position:
(hkl)	Position (°2θ)	I (rel.)
1 1 0	24.15	21
0 2 1	30.92	100
2 0 2	38.59	83
0 0 3	39.54	19
2 2 0	49.46	40
4 0 1	59.47	16
0 2 4	61.53	21
0 4 2	64.43	18
2 2 3	65.09	24
4 2 2	85.31	17